(1)
NdMo2F11: calculated X-ray powder pattern (Cu Kα X-rays), based on DFT lattice parameters and positions (PBE+U).

```
NdMo2F11
1.0
-3.8693 4.9807 5.5272
3.8693 -4.9807 5.5272
3.8693 4.9807 -5.5272
Nd Mo F
2 4 22
Direct
0.2500 0.2500 0.0000
0.7500 0.7500 0.0000
0.1802 0.6389 0.8192
0.3198 0.1389 0.4587
0.6802 0.8611 0.5413
0.8198 0.3611 0.1808
0.0000 0.5000 0.5000
0.0512 0.9581 0.2834
0.0575 0.3672 0.1664
0.1747 0.4581 0.9069
0.2008 0.8911 0.8336
0.2167 0.3670 0.5836
0.2833 0.8670 0.1503
0.2992 0.1328 0.6903
0.3253 0.2322 0.2834
0.4425 0.6089 0.3097
0.4488 0.7322 0.9069
0.5000 0.0000 0.5000
0.5512 0.2678 0.0931
0.5575 0.3911 0.6903
0.6747 0.7678 0.7166
0.7008 0.8672 0.3097
0.7167 0.1330 0.8497
0.7833 0.6330 0.4164
0.7992 0.1089 0.1664
0.8253 0.5419 0.0931
0.9425 0.6328 0.8336
0.9488 0.0419 0.7166
```

Principal peaks in the range 10° ≤ 2θ ≤ 80°, by angle:
2θ/deg, I/Imax
14.5, 22
21.7, 100
22.7, 28
24.1, 59
26.0, 39
29.3, 25
32.4, 15
44.2, 47
47.6, 28
50.1, 17

=====

(2)
Ni4MoF12: calculated X-ray powder pattern (Cu Kα X-rays), based on DFT lattice parameters and positions (PBE+U).

```
Ni4MoF12
1.0
-3.9745 3.9745 3.6599
3.9745 -3.9745 3.6599
3.9745 3.9745 -3.6599
Ni Mo F
4 1 12
Direct
0.0000 0.0000 0.5000
0.0000 0.5000 0.0000
0.5000 0.0000 0.0000
0.5000 0.5000 0.5000
0.0000 0.0000 0.0000
0.0485 0.8308 0.2177
0.1692 0.3869 0.2177
0.1692 0.9515 0.7823
0.3040 0.3040 0.6079
0.3040 0.6960 0.0000
0.3869 0.1692 0.2177
0.6131 0.8308 0.7823
0.6960 0.3040 0.0000
0.6960 0.6960 0.3921
0.8308 0.0485 0.2177
0.8308 0.6131 0.7823
0.9515 0.1692 0.7823
```

Principal peaks in the range 10° ≤ 2θ ≤ 80°, by angle:
2θ/deg, I/Imax
15.8, 74
16.5, 95
22.4, 80
27.9, 30
31.8, 44
33.3, 100
36.0, 31
45.7, 58
57.7, 56
60.4, 40

=====

(3)
Mo5O12F3: calculated X-ray powder pattern (Cu Kα X-rays), based on DFT lattice parameters and positions (PBE+U).

```
Mo5O12F3
1.0
5.6229 0.0000 0.0000
0.0291 6.8011 0.0000
2.7787 1.9593 7.8884
Mo O F
5 12 3
Direct
0.0000 0.0000 0.0000
0.1124 0.8066 0.5985
0.4164 0.6295 0.1916
0.5305 0.4202 0.7960
0.7652 0.2227 0.3922
0.0804 0.9059 0.7897
0.1670 0.8151 0.0967
0.2762 0.7176 0.4018
0.2880 0.2090 0.8925
0.3636 0.6010 0.6991
0.4843 0.5074 0.9916
0.5795 0.4264 0.2947
0.6680 0.8256 0.0899
0.6860 0.3117 0.5948
0.8629 0.6093 0.6933
0.8764 0.1222 0.1989
0.9585 0.0039 0.5006
0.0830 0.4258 0.2913
0.4610 0.0193 0.4948
0.7942 0.2117 0.8923
```

Principal peaks in the range 10° ≤ 2θ ≤ 80°, by angle:
2θ/deg, I/Imax
22.3, 98
22.4, 100
23.3, 99
31.8, 34
32.5, 54
32.6, 18
45.5, 20
45.8, 20
47.7, 21
53.2, 24

=====

(4)
MoO2F5: calculated X-ray powder pattern (Cu Kα X-rays), based on DFT lattice parameters and positions (PBE+U).

```
MoO2F5
1.0
4.1048 0.0000 0.0000
2.0418 5.9170 0.0000
2.0497 -0.2372 5.9116
Mo O F
1 2 5
Direct
0.0000 0.0000 0.0000
0.1462 0.4997 0.4961
0.8421 0.5004 0.5039
0.1656 0.6817 0.9852
0.1666 0.9847 0.6817
0.5000 0.0001 0.9999
0.8334 0.0152 0.3183
0.8342 0.3183 0.0149
```

Principal peaks in the range 10° ≤ 2θ ≤ 80°, by angle:
2θ/deg, I/Imax
15.0, 100
20.8, 33
21.7, 24
24.1, 31
24.2, 55
30.2, 44
32.2, 19
45.2, 15
46.9, 20
48.1, 13

=====

(5)
Rb2MoO2F4: calculated X-ray powder pattern (Cu Kα X-rays), based on DFT lattice parameters and positions (PBE+U).

```
Rb2MoO2F4
1.0
3.0483 -7.3178 0.0000
3.0483 7.3178 0.0000
0.0000 0.0000 7.2577
Rb Mo O F
4 2 4 8
Direct
0.0510 0.9490 0.5000
0.2729 0.7271 0.9973
0.7271 0.2729 0.4973
0.9490 0.0510 0.0000
0.3827 0.6173 0.4859
0.6173 0.3827 0.9859
0.1564 0.3960 0.3339
0.3960 0.1564 0.8339
0.6040 0.8436 0.3339
0.8436 0.6040 0.8339
0.1579 0.4020 0.7051
0.2479 0.7521 0.5224
0.4020 0.1579 0.2051
0.4861 0.5139 0.0263
0.5139 0.4861 0.5263
0.5980 0.8421 0.7051
0.7521 0.2479 0.0224
0.8421 0.5980 0.2051
```

Principal peaks in the range 10° ≤ 2θ ≤ 80°, by angle:
2θ/deg, I/Imax
23.4, 28
24.5, 47
26.4, 100
29.3, 27
38.6, 52
39.0, 32
44.4, 22
49.5, 21
50.3, 23
62.0, 18

=====

(6)
Rb2MoO2F4: calculated X-ray powder pattern (Cu Kα X-rays), based on DFT lattice parameters and positions (PBE+U).

```
Rb2MoO2F4
1.0
7.2161 0.0000 0.0000
0.0000 7.3056 3.0820
0.0000 -7.3056 3.0820
Rb Mo O F
4 2 4 8
Direct
0.2500 0.0513 0.9487
0.2500 0.7176 0.2595
0.7500 0.2595 0.7176
0.7500 0.9487 0.0513
0.2500 0.3898 0.6232
0.7500 0.6232 0.3898
0.0628 0.5703 0.8059
0.4372 0.5703 0.8059
0.5628 0.8059 0.5703
0.9372 0.8059 0.5703
0.0700 0.1186 0.3661
0.2500 0.2210 0.7256
0.2500 0.4706 0.4417
0.4300 0.1186 0.3661
0.5700 0.3661 0.1186
0.7500 0.4417 0.4706
0.7500 0.7256 0.2210
0.9300 0.3661 0.1186
```

Principal peaks in the range 10° ≤ 2θ ≤ 80°, by angle:
2θ/deg, I/Imax
23.3, 25
24.7, 47
26.4, 100
29.0, 26
38.4, 51
39.0, 30
44.5, 22
49.3, 19
49.8, 16
62.0, 17

=====

(7)
Rb2MoOF5: calculated X-ray powder pattern (Cu Kα X-rays), based on DFT lattice parameters and positions (PBE+U).

```
Rb2MoOF5
1.0
-3.1647 3.1647 4.4374
3.1647 -3.1647 4.4374
3.1647 3.1647 -4.4374
Rb Mo O F
2 1 1 5
Direct
0.0000 0.5000 0.5000
0.5000 0.0000 0.5000
0.2441 0.2441 0.0000
0.0478 0.0478 0.0000
0.0448 0.0448 0.5552
0.0448 0.4896 0.0000
0.4738 0.4738 0.0000
0.4896 0.0448 0.0000
0.4896 0.4896 0.4448
```

Principal peaks in the range 10° ≤ 2θ ≤ 80°, by angle:
2θ/deg, I/Imax
17.2, 87
28.2, 47
28.3, 100
33.2, 20
34.8, 33
40.3, 46
40.7, 21
50.0, 38
58.6, 25
66.0, 20

=====

(8)
SmMoO4F: calculated X-ray powder pattern (Cu Kα X-rays), based on DFT lattice parameters and positions (PBE+U).

```
SmMoO4F
1.0
5.3494 0.0000 0.0000
0.0000 12.6574 0.0000
-2.6733 0.0000 6.3277
Sm Mo O F
4 4 16 4
Direct
0.1390 0.0527 0.2996
0.1390 0.4473 0.7996
0.8610 0.5527 0.2004
0.8610 0.9473 0.7004
0.4204 0.1423 0.8689
0.4204 0.3577 0.3689
0.5796 0.6423 0.6311
0.5796 0.8577 0.1311
0.1934 0.0664 0.9598
0.1934 0.4336 0.4598
0.2680 0.6517 0.4123
0.2680 0.8483 0.9123
0.3074 0.2261 0.2944
0.3074 0.2739 0.7944
0.4930 0.0690 0.6653
0.4930 0.4310 0.1653
0.5070 0.5690 0.8347
0.5070 0.9310 0.3347
0.6926 0.7261 0.2056
0.6926 0.7739 0.7056
0.7320 0.1517 0.0877
0.7320 0.3483 0.5877
0.8066 0.5664 0.5402
0.8066 0.9336 0.0402
0.0469 0.5979 0.9626
0.0469 0.9021 0.4626
0.9531 0.0979 0.5374
0.9531 0.4021 0.0374
```

Principal peaks in the range 10° ≤ 2θ ≤ 80°, by angle:
2θ/deg, I/Imax
14.0, 45
19.3, 26
22.9, 60
26.9, 30
27.8, 100
30.5, 33
31.6, 27
34.3, 25
51.8, 28
54.0, 32